Record 1
Diffraction record for LaCu2Ni3. The powder diffraction line list is calculated, not measured: it uses DFT lattice parameters and positions (GGA-PBE) and Cu Kα.

Top 12 peaks for 15 to 90 degrees two-theta, by angle:
2θ/deg, d (Å), intensity
30.3, 2.945, 38
35.3, 2.544, 32
41.0, 2.203, 33
42.2, 2.140, 100
45.8, 1.980, 25
47.2, 1.925, 10
59.1, 1.562, 14
60.3, 1.535, 11
63.1, 1.473, 17
68.1, 1.377, 23
74.6, 1.272, 16
82.3, 1.172, 13

Structural model:
```
6
Lattice="5.0879 0.0000 0.0000 -2.5439 4.4062 0.0000 0.0000 0.0000 3.9597" Properties=species:S:1:pos:R:3 pbc="T T T"
La 0.0000 0.0000 0.0000
Cu 0.0000 2.9375 0.0000
Cu 2.5439 1.4687 0.0000
Ni -1.2720 2.2031 1.9799
Ni 2.5439 0.0000 1.9799
Ni 1.2720 2.2031 1.9799
```



Record 2
Diffraction record for Ho4MnSi7. The powder diffraction line list is calculated, not measured: it uses DFT lattice parameters and positions (GGA-PBE) and Cu Kα.

Top 12 peaks for 15 to 90 degrees two-theta, by angle:
2θ/deg, d (Å), intensity
22.5, 3.953, 45
24.5, 3.629, 37
24.7, 3.610, 23
28.6, 3.125, 17
31.5, 2.841, 23
32.9, 2.720, 33
35.3, 2.546, 100
38.1, 2.363, 30
41.4, 2.181, 23
44.1, 2.055, 24
46.3, 1.959, 21
51.1, 1.787, 17

Structural model:
```
12
Lattice="4.1098 0.0000 0.0000 0.0000 1.9593 14.4400 0.0000 -1.9593 14.4400" Properties=species:S:1:pos:R:3 pbc="T T T"
Ho 0.0000 0.0000 0.0000
Ho 0.0000 0.0000 11.2160
Ho 2.0549 0.0000 3.4903
Ho 2.0549 0.0000 21.0363
Mn 2.0549 0.0000 24.1863
Si 0.0000 0.0000 5.8082
Si 0.0000 0.0000 18.7573
Si 0.0000 0.0000 23.3011
Si 2.0549 0.0000 8.7333
Si 2.0549 0.0000 13.4115
Si 2.0549 0.0000 15.7126
Si 2.0549 0.0000 26.5272
```



Record 3
Diffraction record for Nb5Cr3Se20. The powder diffraction line list is calculated, not measured: it uses DFT lattice parameters and positions (GGA-PBE) and Cu Kα.

Top 12 peaks for 15 to 90 degrees two-theta, by angle:
2θ/deg, d (Å), intensity
16.6, 5.339, 26
17.0, 5.210, 10
31.5, 2.841, 100
34.6, 2.594, 33
38.3, 2.350, 9
40.5, 2.228, 25
42.8, 2.112, 28
43.2, 2.092, 20
49.7, 1.836, 14
51.6, 1.772, 20
63.6, 1.463, 11
84.5, 1.146, 9

Structural model:
```
28
Lattice="10.5195 0.0000 0.0000 0.0000 3.5435 0.0000 -2.3736 0.0000 17.1923" Properties=species:S:1:pos:R:3 pbc="T T T"
Nb 0.0000 0.0000 0.0000
Nb -1.3138 1.7718 13.3368
Nb 4.0323 0.0000 8.5849
Nb 5.0981 1.7718 4.7401
Nb 8.7318 0.0000 6.2273
Cr 0.6321 1.7718 7.1217
Cr 2.0261 0.0000 14.7287
Cr 4.8068 1.7718 15.7994
Se -0.9751 0.0000 11.3469
Se 0.5313 0.0000 5.3181
Se -0.4914 0.0000 15.1541
Se 1.8082 1.7718 0.9364
Se 1.2773 0.0000 8.8056
Se 1.4149 1.7718 13.0150
Se 3.3142 0.0000 3.7772
Se 3.1849 1.7718 6.7827
Se 2.4183 1.7718 16.4798
Se 3.6957 1.7718 10.5922
Se 5.4518 0.0000 2.7333
Se 4.4154 0.0000 14.0502
Se 5.9361 0.0000 6.5561
Se 5.8279 1.7718 9.5282
Se 7.7919 0.0000 0.3217
Se 7.8598 1.7718 4.4481
Se 7.3997 0.0000 12.3972
Se 7.3246 1.7718 15.3752
Se 8.8408 1.7718 8.1244
Se 10.1870 1.7718 1.9927
```